Record 1
PrDy2HoTh: calculated PXRD pattern (λ = 1.5418 Å (Cu Kα)), based on a PBE-relaxed structure.

Atomic structure:
```
data_PrDy2HoTh
_chemical_formula_sum 'Pr1 Dy2 Ho1 Th1'
_symmetry_space_group_name_H-M 'P m m m'
_symmetry_Int_Tables_number 47
_cell_length_a 3.5406
_cell_length_b 5.6632
_cell_length_c 8.7023
_cell_angle_alpha 90.00
_cell_angle_beta 90.00
_cell_angle_gamma 90.00
loop_
_symmetry_equiv_pos_as_xyz
'x,y,z'
'-x,-y,-z'
'-x,-y,z'
'x,y,-z'
'x,-y,-z'
'-x,y,z'
'-x,y,-z'
'x,-y,z'
loop_
_atom_site_label
_atom_site_fract_x
_atom_site_fract_y
_atom_site_fract_z
Pr1 0.0000 0.0000 0.0000
Dy1 0.0000 0.5000 0.3218
Ho1 0.5000 0.0000 0.5000
Th1 0.5000 0.5000 0.0000
```

Principal peaks in the range 2θ from 10° to 90°, low angle first:
Position (°2θ)	Rel. int.	index
15.65	11.9	0 1 0
20.41	12.6	0 0 2
25.82	10.6	0 1 2
30.82	11.3	0 0 3
31.55	100.0	0 2 0
32.61	14.3	1 0 2
34.75	19.2	0 1 3
36.36	17.6	1 1 2
46.04	11.2	1 2 2
51.97	9.2	1 2 3
56.23	14.1	1 3 1
61.59	14.4	1 1 5


Record 2
PrDy2HoTl2: calculated PXRD pattern (λ = 1.5418 Å (Cu Kα)), based on a PBE-relaxed structure.

Atomic structure:
```
data_PrDy2HoTl2
_chemical_formula_sum 'Pr2 Dy4 Ho2 Tl4'
_symmetry_space_group_name_H-M 'P m c 21'
_symmetry_Int_Tables_number 26
_cell_length_a 5.1529
_cell_length_b 10.0792
_cell_length_c 6.8520
_cell_angle_alpha 90.00
_cell_angle_beta 90.00
_cell_angle_gamma 90.00
loop_
_symmetry_equiv_pos_as_xyz
'x,y,z'
'-x,-y,z+1/2'
'-x,y,z'
'x,-y,z+1/2'
loop_
_atom_site_label
_atom_site_fract_x
_atom_site_fract_y
_atom_site_fract_z
Pr1 0.0000 0.0429 0.0000
Dy1 0.0000 0.3186 0.3785
Dy2 0.5000 0.4554 0.0928
Ho1 0.5000 0.1926 0.7224
Tl1 0.0000 0.3672 0.8393
Tl2 0.5000 0.1388 0.2644
```

Principal peaks in the range 2θ from 10° to 90°, low angle first:
Position (°2θ)	Rel. int.	index
29.61	17.8	0 3 1
31.35	56.2	1 0 2
31.58	22.2	0 2 2
31.80	100.0	1 3 0
32.62	79.9	1 1 2
34.45	34.1	1 3 1
34.82	59.1	2 0 0
37.49	24.0	0 3 2
41.52	14.6	1 3 2
52.09	18.9	2 3 2
59.78	14.7	1 2 4
60.54	16.1	3 3 0


Record 3
Pr2DyHoTl2: calculated PXRD pattern (λ = 1.5418 Å (Cu Kα)), based on a PBE-relaxed structure.

Atomic structure:
```
data_Pr2DyHoTl2
_chemical_formula_sum 'Pr4 Dy2 Ho2 Tl4'
_symmetry_space_group_name_H-M 'P m c 21'
_symmetry_Int_Tables_number 26
_cell_length_a 5.1626
_cell_length_b 10.2682
_cell_length_c 6.8988
_cell_angle_alpha 90.00
_cell_angle_beta 90.00
_cell_angle_gamma 90.00
loop_
_symmetry_equiv_pos_as_xyz
'x,y,z'
'-x,-y,z+1/2'
'-x,y,z'
'x,-y,z+1/2'
loop_
_atom_site_label
_atom_site_fract_x
_atom_site_fract_y
_atom_site_fract_z
Pr1 0.0000 0.0436 0.0000
Pr2 0.5000 0.1881 0.2663
Dy1 0.5000 0.4590 0.8996
Ho1 0.0000 0.3165 0.6187
Tl1 0.0000 0.3773 0.1558
Tl2 0.5000 0.1470 0.7384
```

Principal peaks in the range 2θ from 10° to 90°, low angle first:
Position (°2θ)	Rel. int.	index
29.12	18.2	0 3 1
31.20	80.2	1 0 2
31.36	100.0	1 3 0
32.41	79.0	1 1 2
34.01	33.9	1 3 1
34.75	57.7	2 0 0
37.00	25.3	0 3 2
43.97	13.5	0 4 2
47.42	13.7	2 2 2
51.67	19.6	2 3 2
60.19	15.8	3 3 0
65.75	13.8	2 1 4


Record 4
Pr6Dy2HoTm3: calculated PXRD pattern (λ = 1.5418 Å (Cu Kα)), based on a PBE-relaxed structure.

Atomic structure:
```
data_Pr6Dy2HoTm3
_chemical_formula_sum 'Pr12 Dy4 Ho2 Tm6'
_symmetry_space_group_name_H-M 'C 1 2/m 1'
_symmetry_Int_Tables_number 12
_cell_length_a 6.2835
_cell_length_b 10.8811
_cell_length_c 11.8201
_cell_angle_alpha 90.00
_cell_angle_beta 100.18
_cell_angle_gamma 90.00
loop_
_symmetry_equiv_pos_as_xyz
'x,y,z'
'-x,-y,-z'
'-x,y,-z'
'x,-y,z'
'x+1/2,y+1/2,z'
'-x+1/2,-y+1/2,-z'
'-x+1/2,y+1/2,-z'
'x+1/2,-y+1/2,z'
loop_
_atom_site_label
_atom_site_fract_x
_atom_site_fract_y
_atom_site_fract_z
Pr1 0.2493 0.0000 0.2484
Pr2 0.2494 0.3334 0.2486
Dy1 0.0000 0.3334 0.5000
Ho1 0.0000 0.0000 0.5000
Tm1 0.0000 0.1667 0.0000
Tm2 0.0000 0.5000 0.0000
```

Principal peaks in the range 2θ from 10° to 90°, low angle first:
Position (°2θ)	Rel. int.	index
30.24	100.0	1 3 1
30.74	31.9	0 0 4
35.20	66.8	2 0 2
50.31	24.4	0 6 0
50.97	23.4	1 3 5
59.83	14.5	4 0 0
60.12	28.5	3 3 3
60.71	13.8	2 0 6
62.89	12.4	2 6 2
81.88	11.9	4 6 0
84.58	11.0	5 3 1
85.61	10.7	3 3 7


Record 5
Pr4Dy2HoTm: calculated PXRD pattern (λ = 1.5418 Å (Cu Kα)), based on a PBE-relaxed structure.

Atomic structure:
```
data_Pr4Dy2HoTm
_chemical_formula_sum 'Pr4 Dy2 Ho1 Tm1'
_symmetry_space_group_name_H-M 'P m m m'
_symmetry_Int_Tables_number 47
_cell_length_a 5.1543
_cell_length_b 5.1806
_cell_length_c 10.0241
_cell_angle_alpha 90.00
_cell_angle_beta 90.00
_cell_angle_gamma 90.00
loop_
_symmetry_equiv_pos_as_xyz
'x,y,z'
'-x,-y,-z'
'-x,-y,z'
'x,y,-z'
'x,-y,-z'
'-x,y,z'
'-x,y,-z'
'x,-y,z'
loop_
_atom_site_label
_atom_site_fract_x
_atom_site_fract_y
_atom_site_fract_z
Pr1 0.0000 0.0000 0.2492
Pr2 0.5000 0.5000 0.2495
Dy1 0.0000 0.5000 0.0000
Dy2 0.5000 0.0000 0.5000
Ho1 0.0000 0.5000 0.5000
Tm1 0.5000 0.0000 0.0000
```

Principal peaks in the range 2θ from 10° to 90°, low angle first:
Position (°2θ)	Rel. int.	index
30.27	100.0	1 1 2
34.63	17.5	0 2 0
34.81	17.3	2 0 0
35.83	16.0	0 0 4
49.92	12.5	2 2 0
50.69	11.9	0 2 4
50.82	11.8	2 0 4
59.38	14.8	1 3 2
59.62	14.7	3 1 2
60.98	13.7	1 1 6
62.96	12.4	2 2 4
81.29	6.1	3 3 2


Record 6
PrDy2Ho2Tm2: calculated PXRD pattern (λ = 1.5418 Å (Cu Kα)), based on a PBE-relaxed structure.

Atomic structure:
```
data_PrDy2Ho2Tm2
_chemical_formula_sum 'Pr2 Dy4 Ho4 Tm4'
_symmetry_space_group_name_H-M 'C 1 2/m 1'
_symmetry_Int_Tables_number 12
_cell_length_a 11.1824
_cell_length_b 5.0184
_cell_length_c 7.9354
_cell_angle_alpha 90.00
_cell_angle_beta 98.18
_cell_angle_gamma 90.00
loop_
_symmetry_equiv_pos_as_xyz
'x,y,z'
'-x,-y,-z'
'-x,y,-z'
'x,-y,z'
'x+1/2,y+1/2,z'
'-x+1/2,-y+1/2,-z'
'-x+1/2,y+1/2,-z'
'x+1/2,-y+1/2,z'
loop_
_atom_site_label
_atom_site_fract_x
_atom_site_fract_y
_atom_site_fract_z
Pr1 0.0000 0.0000 0.0000
Dy1 0.1428 0.0000 0.4306
Ho1 0.0720 0.5000 0.7133
Tm1 0.2144 0.5000 0.1441
```

Principal peaks in the range 2θ from 10° to 90°, low angle first:
Position (°2θ)	Rel. int.	index
30.90	100.0	1 1 2
35.79	33.9	0 2 0
35.91	16.8	4 0 1
51.55	30.1	4 2 1
51.66	6.0	6 0 -2
61.29	28.6	1 3 2
61.45	14.2	7 1 0
64.34	6.2	2 2 4
64.43	6.2	6 2 -2
84.12	8.9	3 1 6
84.24	5.9	7 3 0
86.81	9.8	4 4 1